1.
# Sm3In
Calculated powder diffractogram, λ = 1.5418 Å (Cu Kα). Input: a structure optimized by DFT (PBE).

Peak list (10 most intense, 10 to 90 degrees two-theta, in order of falling intensity)
Position (°2θ)	I/Imax
31.36	100
36.37	50
62.33	42
52.38	35
85.71	17
88.51	16
65.44	12
77.24	6
17.95	1
25.50	1

Cell and atoms:
```
4
Lattice="4.941 0.000 0.000 0.000 4.941 0.000 0.000 0.000 4.941" Properties=species:S:1:pos:R:3 pbc="T T T"
Sm 0.000 0.000 2.470
Sm 0.000 2.470 0.000
Sm 2.470 0.000 0.000
In 2.470 2.470 2.470
```

2.
# CaZnC2O6
Calculated powder diffractogram, λ = 1.5418 Å (Cu Kα). Input: a structure optimized by DFT (PBE).

Peak list (10 most intense, 10 to 90 degrees two-theta, in order of falling intensity)
Position (°2θ)	I/Imax
30.48	100
50.30	29
23.76	27
44.40	21
49.62	21
36.95	20
40.62	18
59.09	16
62.60	11
16.28	10

Cell and atoms:
```
10
Lattice="2.433 1.405 5.444 -2.433 1.405 5.444 0.000 -2.809 5.444" Properties=species:S:1:pos:R:3 pbc="T T T"
Ca 0.000 0.000 0.000
Zn 0.000 0.000 8.166
C 0.000 0.000 3.961
C 0.000 0.000 12.371
O -1.680 -0.349 6.901
O -0.538 -1.629 9.431
O -1.142 1.281 9.431
O 1.142 -1.281 6.901
O 0.538 1.629 6.901
O 1.680 0.349 9.431
```

3.
# Sr2LaF7
Calculated powder diffractogram, λ = 1.5418 Å (Cu Kα). Input: a structure optimized by DFT (PBE).

Peak list (10 most intense, 10 to 90 degrees two-theta, in order of falling intensity)
Position (°2θ)	I/Imax
26.47	100
43.63	61
42.90	59
25.34	58
25.92	53
30.07	49
51.60	42
44.11	31
41.97	30
30.37	23

Cell and atoms:
```
20
Lattice="3.607 -2.053 0.000 3.607 2.053 0.000 -0.509 0.000 21.085" Properties=species:S:1:pos:R:3 pbc="T T T"
Sr 0.000 0.000 0.000
Sr -0.087 0.000 10.376
Sr 2.375 0.000 6.921
Sr 4.742 0.000 3.496
La 2.096 0.000 17.685
La 4.594 0.000 14.033
F -0.029 0.000 7.804
F -0.151 0.000 12.823
F -0.272 0.000 18.071
F -0.181 0.000 15.325
F 2.179 0.000 1.231
F 2.345 0.000 4.421
F 2.321 0.000 9.526
F 2.207 0.000 14.270
F 2.214 0.000 19.999
F 4.773 0.000 6.061
F 4.699 0.000 11.377
F 4.596 0.000 16.518
F 4.594 0.000 19.103
F 7.104 0.000 2.640
```

4.
# Ba3YIr2O9
Calculated powder diffractogram, λ = 1.5418 Å (Cu Kα). Input: a structure optimized by DFT (PBE).

Peak list (10 most intense, 10 to 90 degrees two-theta, in order of falling intensity)
Position (°2θ)	I/Imax
30.08	100
29.64	71
42.74	36
53.15	29
53.42	20
34.84	20
62.53	18
18.25	14
46.68	13
70.71	12

Cell and atoms:
```
30
Lattice="5.941 0.000 0.000 -2.971 5.145 0.000 0.000 0.000 14.872" Properties=species:S:1:pos:R:3 pbc="T T T"
Ba 0.000 0.000 0.000
Ba 0.000 0.000 7.436
Ba 0.000 3.430 2.142
Ba 0.000 3.430 12.164
Ba 2.971 1.715 4.728
Ba 2.971 1.715 9.579
Y 0.000 3.430 5.887
Y 2.971 1.715 13.323
Ir 0.000 0.000 3.578
Ir 0.000 0.000 11.014
Ir 0.000 3.430 8.768
Ir 2.971 1.715 1.332
O -1.378 2.634 7.554
O 0.000 1.584 4.751
O -1.599 4.353 4.751
O 0.000 1.707 9.891
O -1.492 4.292 9.891
O 1.372 0.792 12.187
O 1.478 0.853 2.455
O 1.378 2.634 7.554
O 0.000 5.021 7.554
O 2.971 0.124 0.118
O 1.593 2.511 0.118
O 1.492 4.292 9.891
O 1.599 4.353 4.751
O 4.463 0.853 2.455
O 2.971 3.438 2.455
O 4.569 0.792 12.187
O 2.971 3.561 12.187
O 4.349 2.511 0.118
```

5.
# La2ZnBiO6
Calculated powder diffractogram, λ = 1.5418 Å (Cu Kα). Input: a structure optimized by DFT (PBE).

Peak list (10 most intense, 10 to 90 degrees two-theta, in order of falling intensity)
Position (°2θ)	I/Imax
30.53	100
29.96	95
43.31	49
53.55	44
53.19	27
18.27	20
54.63	20
71.84	18
70.92	17
63.56	15

Cell and atoms:
```
10
Lattice="2.983 1.722 4.738 -2.983 1.722 4.738 0.000 -3.444 4.738" Properties=species:S:1:pos:R:3 pbc="T T T"
La 0.000 0.000 3.558
La 0.000 0.000 10.656
Zn 0.000 0.000 0.000
Bi 0.000 0.000 7.107
O -0.632 -1.770 5.879
O -1.849 -0.338 8.334
O -1.217 1.432 5.879
O 1.217 -1.432 8.334
O 1.849 0.338 5.879
O 0.632 1.770 8.334
```

6.
# GaPt3
Calculated powder diffractogram, λ = 1.5418 Å (Cu Kα). Input: a structure optimized by DFT (PBE).

Peak list (10 most intense, 10 to 90 degrees two-theta, in order of falling intensity)
Position (°2θ)	I/Imax
39.54	100
45.98	49
80.74	39
67.06	32
85.14	11
22.52	10
32.06	9
51.78	5
57.16	4
71.73	2

Cell and atoms:
```
4
Lattice="3.948 0.000 0.000 0.000 3.948 0.000 0.000 0.000 3.948" Properties=species:S:1:pos:R:3 pbc="T T T"
Ga 0.000 0.000 0.000
Pt 0.000 1.974 1.974
Pt 1.974 0.000 1.974
Pt 1.974 1.974 0.000
```